Structure and simulated XRD peak list of Nd10Se19 (a structure optimized by DFT (PBE); CuKα).
Kinematic intensities with the Lorentz-polarization factor, no thermal factor.

Main lines, by angle (10° ≤ 2θ ≤ 90°):
3.751 Å, 23.72°, I = 49
2.953 Å, 30.27°, I = 49
2.845 Å, 31.44°, I = 33
2.791 Å, 32.07°, I = 65
2.428 Å, 37.02°, I = 100
2.351 Å, 38.28°, I = 63
2.088 Å, 43.33°, I = 58
1.683 Å, 54.51°, I = 24
1.561 Å, 59.18°, I = 35
1.477 Å, 62.93°, I = 23

Structural model:
```
Nd10Se19
1.0
9.3381 0.0000 0.0000
0.0000 9.3381 0.0000
0.0000 0.0000 17.0702
Nd Se
20 38
Direct
0.0435 0.1528 0.1196
0.0533 0.1479 0.6061
0.1479 0.4467 0.8939
0.1528 0.4565 0.3804
0.2500 0.7500 0.1167
0.2500 0.7500 0.6167
0.3472 0.0435 0.3804
0.3521 0.0533 0.8939
0.4467 0.3521 0.6061
0.4565 0.3472 0.1196
0.5435 0.6528 0.8804
0.5533 0.6479 0.3939
0.6479 0.9467 0.1061
0.6528 0.9565 0.6196
0.7500 0.2500 0.3833
0.7500 0.2500 0.8833
0.8472 0.5435 0.6196
0.8521 0.5533 0.1061
0.9467 0.8521 0.3939
0.9565 0.8472 0.8804
0.0297 0.6730 0.2498
0.0489 0.1523 0.4292
0.0523 0.1494 0.9368
0.0652 0.6185 0.7507
0.1185 0.9348 0.2507
0.1494 0.4477 0.5632
0.1523 0.4511 0.0708
0.1730 0.9703 0.7498
0.2500 0.2500 0.2500
0.2500 0.7500 0.4357
0.2500 0.7500 0.9357
0.3270 0.5297 0.7498
0.3477 0.0489 0.0708
0.3506 0.0523 0.5632
0.3815 0.5652 0.2507
0.4348 0.8815 0.7507
0.4477 0.3506 0.9368
0.4511 0.3477 0.4292
0.4703 0.8270 0.2498
0.5297 0.1730 0.7502
0.5489 0.6523 0.5708
0.5523 0.6494 0.0632
0.5652 0.1185 0.2493
0.6185 0.4348 0.7493
0.6494 0.9477 0.4368
0.6523 0.9511 0.9292
0.6730 0.4703 0.2502
0.7500 0.2500 0.0643
0.7500 0.2500 0.5643
0.7500 0.7500 0.7500
0.8270 0.0297 0.2502
0.8477 0.5489 0.9292
0.8506 0.5523 0.4368
0.8815 0.0652 0.7493
0.9348 0.3815 0.2493
0.9477 0.8506 0.0632
0.9511 0.8477 0.5708
0.9703 0.3270 0.7502
```

***

Structure and simulated XRD peak list of K2In3AgSe6 (a structure optimized by DFT (PBE); CuKα).
Kinematic intensities with the Lorentz-polarization factor, no thermal factor.

Main lines, by angle (10° ≤ 2θ ≤ 90°):
3.780 Å, 23.54°, I = 93
3.168 Å, 28.17°, I = 100
2.146 Å, 42.10°, I = 58
2.141 Å, 42.21°, I = 19
2.099 Å, 43.09°, I = 46
2.008 Å, 45.15°, I = 14
1.836 Å, 49.65°, I = 18
1.750 Å, 52.27°, I = 16
1.723 Å, 53.17°, I = 13
1.221 Å, 78.29°, I = 17

Structural model:
```
K2In3AgSe6
1.0
5.9297 -5.9445 0.0000
5.9297 5.9445 0.0000
-3.0188 0.0000 21.7212
K In Ag Se
8 12 4 24
Direct
0.1072 0.7509 0.9177
0.2491 0.8928 0.5823
0.2921 0.3956 0.5824
0.3956 0.2921 0.0824
0.6044 0.7079 0.9176
0.7079 0.6044 0.4176
0.7509 0.1072 0.4177
0.8928 0.2491 0.0823
0.0596 0.9404 0.7500
0.1516 0.7790 0.1125
0.2210 0.8484 0.3875
0.2226 0.3482 0.3869
0.3482 0.2226 0.8869
0.4321 0.5679 0.2500
0.5679 0.4321 0.7500
0.6518 0.7774 0.1131
0.7774 0.6518 0.6131
0.7790 0.1516 0.6125
0.8484 0.2210 0.8875
0.9404 0.0596 0.2500
0.0598 0.4334 0.7499
0.4334 0.0598 0.2499
0.5666 0.9402 0.7501
0.9402 0.5666 0.2501
0.0597 0.6705 0.6766
0.0620 0.1665 0.6754
0.1170 0.2222 0.9600
0.1665 0.0620 0.1754
0.1684 0.5275 0.1753
0.2222 0.1170 0.4600
0.2584 0.6164 0.4599
0.3295 0.9403 0.8234
0.3347 0.4714 0.8229
0.3836 0.7416 0.0401
0.4714 0.3347 0.3229
0.4725 0.8316 0.3247
0.5275 0.1684 0.6753
0.5286 0.6653 0.6771
0.6164 0.2584 0.9599
0.6653 0.5286 0.1771
0.6705 0.0597 0.1766
0.7416 0.3836 0.5401
0.7778 0.8830 0.5400
0.8316 0.4725 0.8247
0.8335 0.9380 0.8246
0.8830 0.7778 0.0400
0.9380 0.8335 0.3246
0.9403 0.3295 0.3234
```

***

Structure and simulated XRD peak list of Li3BiB2O6 (a structure optimized by DFT (PBE); CuKα).
Kinematic intensities with the Lorentz-polarization factor, no thermal factor.

Main lines, by angle (10° ≤ 2θ ≤ 90°):
6.689 Å, 13.24°, I = 100
6.238 Å, 14.20°, I = 39
4.206 Å, 21.12°, I = 49
4.022 Å, 22.10°, I = 38
3.902 Å, 22.79°, I = 28
3.872 Å, 22.97°, I = 50
3.543 Å, 25.14°, I = 31
3.343 Å, 26.67°, I = 37
3.226 Å, 27.65°, I = 32
2.197 Å, 41.09°, I = 25

Structural model:
```
Li3BiB2O6
1.0
5.1064 0.0000 0.0000
0.2032 7.1160 0.0000
0.3410 2.8334 7.8031
Li Bi B O
6 2 4 12
Direct
0.1760 0.2620 0.1263
0.1862 0.5510 0.7629
0.3215 0.4265 0.4200
0.6785 0.5735 0.5800
0.8138 0.4490 0.2371
0.8240 0.7380 0.8737
0.3321 0.0640 0.7870
0.6679 0.9360 0.2130
0.1625 0.8114 0.4186
0.3236 0.6400 0.0654
0.6764 0.3600 0.9346
0.8375 0.1886 0.5814
0.1083 0.2070 0.5538
0.1914 0.5007 0.1953
0.2054 0.7354 0.9065
0.2522 0.9775 0.2779
0.3298 0.6711 0.5179
0.4173 0.3057 0.9178
0.5827 0.6943 0.0822
0.6702 0.3289 0.4821
0.7478 0.0225 0.7221
0.7946 0.2646 0.0935
0.8086 0.4993 0.8047
0.8917 0.7930 0.4462
```

***

Structure and simulated XRD peak list of ZrAlPt (a structure optimized by DFT (PBE); CuKα).
Kinematic intensities with the Lorentz-polarization factor, no thermal factor.

Main lines, by angle (10° ≤ 2θ ≤ 90°):
3.583 Å, 24.85°, I = 96
3.144 Å, 28.39°, I = 58
2.555 Å, 35.12°, I = 53
2.363 Å, 38.08°, I = 100
2.068 Å, 43.77°, I = 61
1.973 Å, 46.01°, I = 57
1.823 Å, 50.03°, I = 18
1.791 Å, 50.98°, I = 21
1.368 Å, 68.62°, I = 26
1.326 Å, 71.09°, I = 31

Structural model:
```
ZrAlPt
1.0
7.1652 0.0000 0.0000
-3.5826 6.2053 0.0000
0.0000 0.0000 7.2925
Zr Al Pt
6 6 6
Direct
0.0178 0.6059 0.2500
0.3941 0.4119 0.2500
0.4119 0.3941 0.7500
0.5881 0.9822 0.2500
0.6059 0.0178 0.7500
0.9822 0.5881 0.7500
0.0000 0.2582 0.0000
0.0000 0.2582 0.5000
0.2582 0.0000 0.0000
0.2582 0.0000 0.5000
0.7418 0.7418 0.0000
0.7418 0.7418 0.5000
0.0000 0.0000 0.2500
0.0000 0.0000 0.7500
0.3333 0.6667 0.5243
0.3333 0.6667 0.9757
0.6667 0.3333 0.0243
0.6667 0.3333 0.4757
```

***

Structure and simulated XRD peak list of LaGe4Rh6 (a structure optimized by DFT (PBE); CuKα).
Kinematic intensities with the Lorentz-polarization factor, no thermal factor.

Main lines, by angle (10° ≤ 2θ ≤ 90°):
2.661 Å, 33.68°, I = 22
2.450 Å, 36.68°, I = 100
2.372 Å, 37.94°, I = 34
2.029 Å, 44.65°, I = 38
1.961 Å, 46.30°, I = 26
1.846 Å, 49.38°, I = 14
1.811 Å, 50.37°, I = 24
1.511 Å, 61.34°, I = 16
1.331 Å, 70.82°, I = 17
1.207 Å, 79.39°, I = 17

Structural model:
```
LaGe4Rh6
1.0
7.2459 0.0000 0.0000
-3.6229 6.2751 0.0000
0.0000 0.0000 3.9216
La Ge Rh
1 4 6
Direct
0.0000 0.0000 0.0000
0.3333 0.6667 0.0000
0.3988 0.1994 0.5000
0.8006 0.1994 0.5000
0.8006 0.6012 0.5000
0.2011 0.4021 0.5000
0.2011 0.7989 0.5000
0.5331 0.0662 0.0000
0.5331 0.4669 0.0000
0.5979 0.7989 0.5000
0.9338 0.4669 0.0000
```

***

Structure and simulated XRD peak list of Sr3SbAs (a structure optimized by DFT (PBE); CuKα).
Kinematic intensities with the Lorentz-polarization factor, no thermal factor.

Main lines, by angle (10° ≤ 2θ ≤ 90°):
4.135 Å, 21.49°, I = 28
3.377 Å, 26.40°, I = 86
2.924 Å, 30.57°, I = 100
2.388 Å, 37.67°, I = 13
2.068 Å, 43.78°, I = 74
1.763 Å, 51.85°, I = 39
1.688 Å, 54.34°, I = 26
1.342 Å, 70.14°, I = 16
1.308 Å, 72.24°, I = 33
1.194 Å, 80.45°, I = 25

Structural model:
```
Sr3SbAs
1.0
5.8484 0.0000 0.0000
0.0000 5.8484 0.0000
0.0000 0.0000 5.8484
Sr Sb As
3 1 1
Direct
0.0000 0.0000 0.5000
0.0000 0.5000 0.0000
0.5000 0.0000 0.0000
0.5000 0.5000 0.5000
0.0000 0.0000 0.0000
```

***

Structure and simulated XRD peak list of CuPd (a structure optimized by DFT (PBE); CuKα).
Kinematic intensities with the Lorentz-polarization factor, no thermal factor.

Main lines, by angle (10° ≤ 2θ ≤ 90°):
4.188 Å, 21.21°, I = 8
2.497 Å, 35.97°, I = 4
2.197 Å, 41.08°, I = 27
2.145 Å, 42.13°, I = 100
2.094 Å, 43.20°, I = 23
1.516 Å, 61.12°, I = 24
1.258 Å, 75.58°, I = 17
1.249 Å, 76.26°, I = 8
1.229 Å, 77.72°, I = 8
1.219 Å, 78.50°, I = 15

Structural model:
```
CuPd
1.0
1.5173 -2.1970 0.0000
1.5173 2.1970 0.0000
0.0000 0.0000 4.1880
Cu Pd
1 1
Direct
0.0000 0.0000 0.0000
0.5000 0.5000 0.5000
```

***

Structure and simulated XRD peak list of Ba4SrRe3ClO15 (a structure optimized by DFT (PBE); CuKα).
Kinematic intensities with the Lorentz-polarization factor, no thermal factor.

Main lines, by angle (10° ≤ 2θ ≤ 90°):
4.513 Å, 19.67°, I = 27
3.946 Å, 22.53°, I = 33
3.277 Å, 27.22°, I = 100
3.207 Å, 27.82°, I = 83
3.177 Å, 28.09°, I = 77
2.506 Å, 35.83°, I = 32
2.257 Å, 39.95°, I = 24
2.124 Å, 42.55°, I = 25
1.865 Å, 48.84°, I = 19
1.756 Å, 52.09°, I = 22

Structural model:
```
Ba4SrRe3ClO15
1.0
11.0038 0.0000 0.0000
-5.5019 9.5295 0.0000
0.0000 0.0000 7.8924
Ba Sr Re Cl O
8 2 6 2 30
Direct
0.0000 0.2639 0.0000
0.0000 0.7360 0.5004
0.2639 0.0000 0.0000
0.2640 0.2640 0.5004
0.3333 0.6667 0.2412
0.6667 0.3333 0.2412
0.7360 0.0000 0.5004
0.7361 0.7361 0.0000
0.3333 0.6667 0.7445
0.6667 0.3333 0.7445
0.0000 0.3904 0.4456
0.0000 0.6090 0.9414
0.3904 0.0000 0.4456
0.3910 0.3910 0.9414
0.6090 0.0000 0.9414
0.6096 0.6096 0.4456
0.0000 0.0000 0.2750
0.0000 0.0000 0.7750
0.0000 0.2917 0.6209
0.0000 0.7065 0.1193
0.1324 0.3897 0.3014
0.1334 0.5543 0.9819
0.1335 0.5778 0.4898
0.1341 0.7422 0.7997
0.2573 0.8676 0.3014
0.2578 0.3919 0.7997
0.2917 0.0000 0.6209
0.2935 0.2935 0.1193
0.3897 0.1324 0.3014
0.3919 0.2578 0.7997
0.4209 0.8666 0.9819
0.4222 0.5557 0.4898
0.4443 0.8665 0.4898
0.4457 0.5791 0.9819
0.5543 0.1334 0.9819
0.5557 0.4222 0.4898
0.5778 0.1335 0.4898
0.5791 0.4457 0.9819
0.6081 0.8659 0.7997
0.6103 0.7427 0.3014
0.7065 0.0000 0.1193
0.7083 0.7083 0.6209
0.7422 0.1341 0.7997
0.7427 0.6103 0.3014
0.8665 0.4443 0.4898
0.8659 0.6081 0.7997
0.8666 0.4209 0.9819
0.8676 0.2573 0.3014
```